No. 1
Li8Pr7Ge10: computed PXRD pattern (a wavelength of 1.5418 Å), based on a crystal structure in OQMD, relaxed with PBE.
Neutral-atom scattering factors, no anomalous dispersion.

Most intense lines, 2θ = 10–90°, in order of rising 2θ:
two_theta  intensity
10.49  15.9
22.49  19.5
25.49  15.4
25.70  26.5
31.92  18.7
33.16  71.5
33.81  100.0
40.43  27.4
43.43  18.2
48.56  16.3

Structure:
a = 17.2139 Å, b = 17.2139 Å, c = 4.4624 Å
α = 90.00°, β = 90.00°, γ = 156.77°
Fractional positions:
Li 0.0435 0.3295 0.0000
Li 0.2339 0.3858 0.5000
Li 0.3295 0.0435 0.0000
Li 0.3858 0.2339 0.5000
Li 0.6142 0.7661 0.5000
Li 0.6705 0.9565 0.0000
Li 0.7661 0.6142 0.5000
Li 0.9565 0.6705 0.0000
Pr 0.0576 0.9424 0.0000
Pr 0.2210 0.7790 0.5000
Pr 0.3392 0.6608 0.5000
Pr 0.5000 0.5000 0.0000
Pr 0.6608 0.3392 0.5000
Pr 0.7790 0.2210 0.5000
Pr 0.9424 0.0576 0.0000
Ge 0.1023 0.5331 0.0000
Ge 0.1269 0.8731 0.5000
Ge 0.1846 0.1846 0.5000
Ge 0.4061 0.5939 0.0000
Ge 0.4669 0.8977 0.0000
Ge 0.5331 0.1023 0.0000
Ge 0.5939 0.4061 0.0000
Ge 0.8154 0.8154 0.5000
Ge 0.8731 0.1269 0.5000
Ge 0.8977 0.4669 0.0000



No. 2
Li2Ge2Pt: computed PXRD pattern (a wavelength of 1.5418 Å), based on a crystal structure in OQMD, relaxed with PBE.
Neutral-atom scattering factors, no anomalous dispersion.

Most intense lines, 2θ = 10–90°, in order of rising 2θ:
two_theta  intensity
19.66  35.1
21.98  100.0
27.94  27.2
29.66  28.2
35.83  32.7
38.59  24.7
44.86  61.1
46.04  19.1
50.51  57.7
65.31  37.1

Structure:
a = 6.3875 Å, b = 6.3875 Å, c = 4.0430 Å
α = 90.00°, β = 90.00°, γ = 90.00°
Fractional positions:
Li 0.1722 0.3278 0.0000
Li 0.3278 0.8278 0.0000
Li 0.6722 0.1722 0.0000
Li 0.8278 0.6722 0.0000
Ge 0.1358 0.6358 0.5000
Ge 0.3642 0.1358 0.5000
Ge 0.6358 0.8642 0.5000
Ge 0.8642 0.3642 0.5000
Pt 0.0000 0.0000 0.5000
Pt 0.5000 0.5000 0.5000



No. 3
Li2Sc2SnGePt2: computed PXRD pattern (a wavelength of 1.5418 Å), based on a crystal structure in OQMD, relaxed with PBE.
Neutral-atom scattering factors, no anomalous dispersion.

Most intense lines, 2θ = 10–90°, in order of rising 2θ:
two_theta  intensity
24.07  100.0
39.77  83.5
39.88  41.9
46.93  16.7
47.12  34.4
57.67  14.2
63.24  14.0
72.12  13.9
72.34  28.7
85.73  9.0

Structure:
a = 4.5213 Å, b = 4.5213 Å, c = 6.4272 Å
α = 90.00°, β = 90.00°, γ = 90.00°
Fractional positions:
Li 0.0000 0.5000 0.2341
Li 0.5000 0.0000 0.7659
Sc 0.0000 0.0000 0.0000
Sc 0.5000 0.5000 0.5000
Sn 0.0000 0.0000 0.5000
Ge 0.5000 0.5000 0.0000
Pt 0.0000 0.5000 0.7614
Pt 0.5000 0.0000 0.2386



No. 4
Li4TlGePt2: computed PXRD pattern (a wavelength of 1.5418 Å), based on a crystal structure in OQMD, relaxed with PBE.
Neutral-atom scattering factors, no anomalous dispersion.

Most intense lines, 2θ = 10–90°, in order of rising 2θ:
two_theta  intensity
24.73  100.0
32.30  11.7
34.68  9.4
40.60  55.5
41.60  29.5
47.23  13.3
49.00  32.4
60.29  10.0
64.73  10.5
75.23  18.4

Structure:
a = 4.3420 Å, b = 4.3420 Å, c = 6.4402 Å
α = 90.00°, β = 90.00°, γ = 90.00°
Fractional positions:
Li 0.0000 0.0000 0.0000
Li 0.0000 0.5000 0.7294
Li 0.5000 0.0000 0.2706
Li 0.5000 0.5000 0.5000
Tl 0.5000 0.5000 0.0000
Ge 0.0000 0.0000 0.5000
Pt 0.0000 0.5000 0.2876
Pt 0.5000 0.0000 0.7124



No. 5
LiZnGe2: computed PXRD pattern (a wavelength of 1.5418 Å), based on a crystal structure in OQMD, relaxed with PBE.
Neutral-atom scattering factors, no anomalous dispersion.

Most intense lines, 2θ = 10–90°, in order of rising 2θ:
two_theta  intensity
23.63  23.9
27.35  11.1
39.06  100.0
46.16  11.8
56.43  16.6
62.02  4.8
63.82  3.7
70.76  32.8
83.92  10.2
88.73  3.6

Structure:
a = 4.6121 Å, b = 4.6121 Å, c = 4.6121 Å
α = 60.00°, β = 60.00°, γ = 60.00°
Fractional positions:
Li 0.0000 0.0000 0.0000
Zn 0.2500 0.2500 0.2500
Ge 0.5000 0.5000 0.5000
Ge 0.7500 0.7500 0.7500